The following is a calculated powder diffractogram of Ca2SnS4. It was derived from a cell relaxed with GGA-PBE, using a wavelength of 1.5418 Å.
Lines closer than 0.1° are merged.

Principal peaks in the range 15° ≤ 2θ ≤ 90°, by angle:
- (0 2 0), d 5.094, I = 32
- (1 1 1), d 4.980, I = 70
- (2 0 0), d 4.901, I = 37
- (0 3 1), d 3.057, I = 27
- (1 3 1), d 2.919, I = 28
- (2 0 2), d 2.854, I = 21
- (3 1 1), d 2.844, I = 22
- (0 4 0), d 2.547, I = 17
- (2 2 2), d 2.490, I = 100
- (4 0 0), d 2.450, I = 28
- (4 2 2), d 1.870, I = 20
- (0 2 4), d 1.660, I = 17

Structural model:
abc: 9.801 10.188 7.023
angles: 90.00 90.00 90.00
Space group Ama2 (No. 40)
Unique sites:
Ca  0.000  0.000  0.000
Ca  0.250  0.189  0.458
Sn  0.250  0.275  0.971
S  0.054  0.262  0.178
S  0.250  0.064  0.804
S  0.250  0.442  0.729